Cs2CuBrCl3: calculated powder diffractogram (a wavelength of 1.5418 Å), based on a GGA-PBE-relaxed structure.
Intensities are scaled so that the largest is 1000.

Atomic structure:
```
data_Cs2CuBrCl3
_chemical_formula_sum 'Cs4 Cu2 Br2 Cl6'
_cell_length_a 5.207
_cell_length_b 5.207
_cell_length_c 16.931
_cell_angle_alpha 90.00
_cell_angle_beta 90.00
_cell_angle_gamma 90.00
_space_group_name_H-M_alt 'I 4 m m'
_space_group_IT_number 107
_space_group_name_Hall 'I 4 -2'
loop_
_atom_site_label
_atom_site_type_symbol
_atom_site_fract_x
_atom_site_fract_y
_atom_site_fract_z
_atom_site_occupancy
Cs1 Cs 0.000 0.000 0.000 1
Cs2 Cs 0.000 0.000 0.276 1
Cu1 Cu 0.000 0.000 0.634 1
Br1 Br 0.000 0.000 0.781 1
Cl1 Cl 0.000 0.000 0.497 1
Cl2 Cl 0.000 0.500 0.136 1
```

Top 12 peaks for 2θ from 15° to 90°, in order of rising 2θ:
d/Å	two_theta	Rel. int.	hkl
4.233	20.99	227	0 0 4
3.827	23.24	529	1 0 3
3.682	24.17	1000	1 1 0
2.822	31.71	204	0 0 6
2.778	32.22	866	1 1 4
2.604	34.45	762	2 0 0
2.153	41.97	226	2 1 3
1.914	47.52	247	2 0 6
1.841	49.51	259	2 2 0
1.647	55.83	197	3 1 0
1.642	55.99	233	2 0 8
1.535	60.31	267	3 1 4

***

Pm4SnP2: calculated powder diffractogram (a wavelength of 1.5418 Å), based on a GGA-PBE-relaxed structure.
Intensities are scaled so that the largest is 1000.

Atomic structure:
```
data_Pm4SnP2
_chemical_formula_sum 'Pm16 Sn4 P8'
_cell_length_a 4.169
_cell_length_b 13.635
_cell_length_c 14.074
_cell_angle_alpha 90.00
_cell_angle_beta 90.00
_cell_angle_gamma 90.00
_space_group_name_H-M_alt 'C m c m'
_space_group_IT_number 63
_space_group_name_Hall '-C 2c 2'
loop_
_atom_site_label
_atom_site_type_symbol
_atom_site_fract_x
_atom_site_fract_y
_atom_site_fract_z
_atom_site_occupancy
Pm1 Pm 0.000 0.000 0.000 1
Pm2 Pm 0.000 0.267 0.115 1
Pm3 Pm 0.000 0.435 0.750 1
Sn1 Sn 0.000 0.108 0.750 1
P1 P 0.000 0.364 0.560 1
```

Top 12 peaks for 2θ from 15° to 90°, in order of rising 2θ:
d/Å	two_theta	Rel. int.	hkl
3.469	25.68	173	1 1 2
3.127	28.55	861	0 2 4
3.069	29.09	268	0 4 2
3.038	29.40	575	1 1 3
3.002	29.77	1000	1 3 1
2.816	31.78	385	1 3 2
2.299	39.18	237	1 1 5
2.084	43.41	268	2 0 0
2.052	44.13	222	1 5 3
1.734	52.79	337	2 2 4
1.682	54.55	227	1 3 7
1.320	71.48	187	1 9 4

***

Pr2MgCd5: calculated powder diffractogram (a wavelength of 1.5418 Å), based on a GGA-PBE-relaxed structure.
Intensities are scaled so that the largest is 1000.

Atomic structure:
```
data_Pr2MgCd5
_chemical_formula_sum 'Pr4 Mg2 Cd10'
_cell_length_a 7.177
_cell_length_b 7.177
_cell_length_c 8.136
_cell_angle_alpha 90.00
_cell_angle_beta 90.00
_cell_angle_gamma 90.00
_space_group_name_H-M_alt 'I 4 m m'
_space_group_IT_number 107
_space_group_name_Hall 'I 4 -2'
loop_
_atom_site_label
_atom_site_type_symbol
_atom_site_fract_x
_atom_site_fract_y
_atom_site_fract_z
_atom_site_occupancy
Pr1 Pr 0.000 0.500 0.000 1
Mg1 Mg 0.000 0.000 0.055 1
Cd1 Cd 0.000 0.000 0.446 1
Cd2 Cd 0.214 0.214 0.752 1
```

Top 12 peaks for 2θ from 15° to 90°, in order of rising 2θ:
d/Å	two_theta	Rel. int.	hkl
3.174	28.11	100	1 1 2
2.986	29.93	110	2 1 1
2.691	33.29	1000	2 0 2
2.537	35.38	480	2 2 0
2.295	39.25	118	3 0 1
2.034	44.54	101	0 0 4
1.794	50.89	126	4 0 0
1.605	57.43	100	3 2 3
1.587	58.12	142	2 2 4
1.493	62.18	203	4 2 2
1.346	69.91	91	4 0 4
1.269	74.85	122	2 0 6

***

LiIrCl2: calculated powder diffractogram (a wavelength of 1.5418 Å), based on a GGA-PBE-relaxed structure.
Intensities are scaled so that the largest is 1000.

Atomic structure:
```
data_LiIrCl2
_chemical_formula_sum 'Li3 Ir3 Cl6'
_cell_length_a 3.1633
_cell_length_b 3.1633
_cell_length_c 22.8302
_cell_angle_alpha 90.00
_cell_angle_beta 90.00
_cell_angle_gamma 120.00
_space_group_name_H-M_alt 'R -3 m'
_space_group_IT_number 166
_space_group_name_Hall '-R 3 2"'
loop_
_atom_site_label
_atom_site_type_symbol
_atom_site_fract_x
_atom_site_fract_y
_atom_site_fract_z
_atom_site_occupancy
Li1 Li 0.0000 0.0000 0.0000 1
Ir1 Ir 0.0000 0.0000 0.5000 1
Cl1 Cl 0.0000 0.0000 0.3998 1
```

Top 12 peaks for 2θ from 15° to 90°, in order of rising 2θ:
d/Å	two_theta	Rel. int.	hkl
3.805	23.38	236	0 0 6
2.720	32.93	1000	1 0 1
2.664	33.64	753	0 1 2
2.537	35.38	274	0 0 9
2.470	36.38	245	1 0 4
2.098	43.12	219	1 0 7
1.976	45.92	318	0 1 8
1.754	52.15	317	1 0 10
1.654	55.55	217	0 1 11
1.582	58.34	225	1 1 0
1.549	59.71	171	1 1 3
1.342	70.11	217	1 1 9

***

Ce3InSn3: calculated powder diffractogram (a wavelength of 1.5418 Å), based on a GGA-PBE-relaxed structure.
Intensities are scaled so that the largest is 1000.

Atomic structure:
```
data_Ce3InSn3
_chemical_formula_sum 'Ce6 In2 Sn6'
_cell_length_a 8.8496
_cell_length_b 8.8496
_cell_length_c 5.6903
_cell_angle_alpha 90.00
_cell_angle_beta 90.00
_cell_angle_gamma 120.00
_space_group_name_H-M_alt 'P 63/m'
_space_group_IT_number 176
_space_group_name_Hall '-P 6c'
loop_
_atom_site_label
_atom_site_type_symbol
_atom_site_fract_x
_atom_site_fract_y
_atom_site_fract_z
_atom_site_occupancy
Ce1 Ce 0.0949 0.4548 0.2500 1
In1 In 0.3333 0.6667 0.7500 1
Sn1 Sn 0.0520 0.2416 0.7500 1
```

Top 12 peaks for 2θ from 15° to 90°, in order of rising 2θ:
d/Å	two_theta	Rel. int.	hkl
2.897	30.87	243	2 1 0
2.845	31.44	302	0 0 2
2.581	34.75	1000	2 1 1
2.030	44.64	177	2 1 2
1.672	54.90	169	1 4 0
1.587	58.13	231	2 1 3
1.442	64.65	208	1 4 2
1.423	65.63	37	0 0 4
1.404	66.63	141	4 2 1
1.291	73.36	40	4 2 2
1.277	74.28	40	2 1 4
1.151	84.09	77	4 2 3

***

Ti5In2Sb: calculated powder diffractogram (a wavelength of 1.5418 Å), based on a GGA-PBE-relaxed structure.
Intensities are scaled so that the largest is 1000.

Atomic structure:
```
data_Ti5In2Sb
_chemical_formula_sum 'Ti10 In4 Sb2'
_cell_length_a 4.190
_cell_length_b 4.190
_cell_length_c 16.843
_cell_angle_alpha 90.00
_cell_angle_beta 90.00
_cell_angle_gamma 90.00
_space_group_name_H-M_alt 'I 4/m m m'
_space_group_IT_number 139
_space_group_name_Hall '-I 4 2'
loop_
_atom_site_label
_atom_site_type_symbol
_atom_site_fract_x
_atom_site_fract_y
_atom_site_fract_z
_atom_site_occupancy
Ti1 Ti 0.000 0.000 0.000 1
Ti2 Ti 0.000 0.500 0.119 1
In1 In 0.000 0.000 0.249 1
Sb1 Sb 0.000 0.000 0.500 1
```

Top 12 peaks for 2θ from 15° to 90°, in order of rising 2θ:
d/Å	two_theta	Rel. int.	hkl
4.211	21.10	135	0 0 4
4.066	21.86	55	1 0 1
2.963	30.16	112	1 1 0
2.423	37.10	1000	1 1 4
2.105	42.96	159	0 0 8
2.095	43.18	322	2 0 0
1.876	48.53	63	2 0 4
1.485	62.54	195	2 0 8
1.482	62.71	100	2 2 0
1.268	74.85	109	1 1 12
1.264	75.17	227	3 1 4
1.212	79.03	97	2 2 8

***

PdRhPb2Se: calculated powder diffractogram (a wavelength of 1.5418 Å), based on a GGA-PBE-relaxed structure.
Intensities are scaled so that the largest is 1000.

Atomic structure:
```
data_PdRhPb2Se
_chemical_formula_sum 'Pd1 Rh1 Pb2 Se1'
_cell_length_a 5.395
_cell_length_b 5.395
_cell_length_c 4.605
_cell_angle_alpha 90.00
_cell_angle_beta 90.00
_cell_angle_gamma 90.00
_space_group_name_H-M_alt 'P 4/m m m'
_space_group_IT_number 123
_space_group_name_Hall '-P 4 2'
loop_
_atom_site_label
_atom_site_type_symbol
_atom_site_fract_x
_atom_site_fract_y
_atom_site_fract_z
_atom_site_occupancy
Pd1 Pd 0.000 0.000 0.000 1
Rh1 Rh 0.500 0.500 0.500 1
Pb1 Pb 0.000 0.500 0.500 1
Se1 Se 0.500 0.500 0.000 1
```

Top 12 peaks for 2θ from 15° to 90°, in order of rising 2θ:
d/Å	two_theta	Rel. int.	hkl
4.605	19.27	323	0 0 1
2.938	30.43	1000	1 1 1
2.697	33.21	817	2 0 0
2.328	38.68	237	2 0 1
2.303	39.12	262	0 0 2
1.907	47.68	299	2 2 0
1.751	52.23	457	2 0 2
1.600	57.62	338	3 1 1
1.469	63.31	257	2 2 2
1.424	65.56	132	1 1 3
1.206	79.44	137	4 2 0
1.164	82.97	124	4 0 2

***

Na12TlHg2: calculated powder diffractogram (a wavelength of 1.5418 Å), based on a GGA-PBE-relaxed structure.
Intensities are scaled so that the largest is 1000.

Atomic structure:
```
data_Na12TlHg2
_chemical_formula_sum 'Na24 Tl2 Hg4'
_cell_length_a 6.659
_cell_length_b 6.659
_cell_length_c 25.162
_cell_angle_alpha 90.00
_cell_angle_beta 90.00
_cell_angle_gamma 90.00
_space_group_name_H-M_alt 'P 4/n b m'
_space_group_IT_number 125
loop_
_space_group_symop_operation_xyz
'x,y,z'
'-x,-y,-z'
'-y+1/2,x,z'
'y+1/2,-x,-z'
'-x+1/2,-y+1/2,z'
'x+1/2,y+1/2,-z'
'y,-x+1/2,z'
'-y,x+1/2,-z'
'x,-y+1/2,-z'
'-x,y+1/2,z'
'-y+1/2,-x+1/2,-z'
'y+1/2,x+1/2,z'
'-x+1/2,y,-z'
'x+1/2,-y,z'
'y,x,-z'
'-y,-x,z'
loop_
_atom_site_label
_atom_site_type_symbol
_atom_site_fract_x
_atom_site_fract_y
_atom_site_fract_z
_atom_site_occupancy
Na1 Na 0.000 0.000 0.089 1
Na2 Na 0.069 0.569 0.435 1
Na3 Na 0.250 0.250 0.196 1
Na4 Na 0.250 0.250 0.326 1
Tl1 Tl 0.250 0.750 0.000 1
Hg1 Hg 0.250 0.750 0.187 1
```

Top 12 peaks for 2θ from 15° to 90°, in order of rising 2θ:
d/Å	two_theta	Rel. int.	hkl
5.032	17.62	558	0 0 5
4.709	18.85	902	1 1 0
4.629	19.18	776	1 1 1
3.438	25.91	1000	1 1 5
3.330	26.77	424	2 0 0
3.301	27.01	301	2 0 1
3.132	28.50	418	1 1 6
2.777	32.24	775	2 0 5
2.608	34.39	777	2 0 6
2.354	38.23	413	2 2 0
1.943	46.76	384	3 1 5
1.883	48.32	450	2 0 11